[1]
The following is a theoretical powder XRD pattern of BeCo2O4. It was derived from a GGA+U-relaxed structure, using copper Kα.
Intensities are scaled so that the largest is 100.

Most intense lines, 2θ = 10–80°, sorted by position:
2θ 13.7, rel. 41.3
2θ 21.5, rel. 83.6
2θ 30.5, rel. 23.2
2θ 35.1, rel. 56.4
2θ 36.9, rel. 100.0
2θ 47.9, rel. 33.5
2θ 60.0, rel. 51.9
2θ 69.6, rel. 23.9

Cell and atoms:
Cell lengths 8.9980, 2.8934, 9.3037 Å; angles 90.00, 90.00, 90.00 degrees
Space group Pnma (No. 62)
Unique sites:
Be1 0.1460 0.2500 0.1106
Co1 0.1190 0.2500 0.4297
Co2 0.1292 0.2500 0.7987
O1 0.0166 0.2500 0.6146
O2 0.0207 0.7500 0.8746
O3 0.2344 0.2500 0.2518
O4 0.2450 0.2500 0.9733

=====

[2]
The following is a theoretical powder XRD pattern of LiCoSnO4. It was derived from a GGA+U-relaxed structure, using copper Kα.
Intensities are scaled so that the largest is 100.

Most intense lines, 2θ = 10–80°, sorted by position:
2θ 17.4, rel. 34.4
2θ 17.9, rel. 100.0
2θ 33.8, rel. 41.9
2θ 34.4, rel. 19.9
2θ 35.3, rel. 17.9
2θ 36.3, rel. 16.2
2θ 41.6, rel. 66.8
2θ 60.3, rel. 29.2

Cell and atoms:
Cell lengths 6.0186, 6.2766, 8.6863 Å; angles 90.00, 90.00, 90.00 degrees
Space group Imma (No. 74)
Unique sites:
Li1 0.0000 0.2500 0.1243
Co1 0.2500 0.2500 0.7500
Sn1 0.0000 0.0000 0.5000
O1 0.0000 0.0326 0.7401
O2 0.2316 0.2500 0.5102

=====

[3]
The following is a theoretical powder XRD pattern of Cr2Hg2O9. It was derived from a GGA+U-relaxed structure, using copper Kα.
Intensities are scaled so that the largest is 100.

Most intense lines, 2θ = 10–80°, sorted by position:
2θ 17.1, rel. 45.2
2θ 18.7, rel. 100.0
2θ 27.3, rel. 40.5
2θ 29.4, rel. 47.0
2θ 30.8, rel. 59.2
2θ 31.4, rel. 55.4
2θ 36.8, rel. 24.4
2θ 41.6, rel. 25.3

Cell and atoms:
Cell lengths 12.0379, 5.3264, 13.7950 Å; angles 90.00, 108.59, 90.00 degrees
Space group C2/c (No. 15)
Unique sites:
Cr1 0.1497 0.1944 0.0979
Hg1 0.1229 0.2855 0.3762
O1 0.0000 0.3954 0.7500
O2 0.0499 0.1556 0.1645
O3 0.0866 0.3236 0.9880
O4 0.2024 0.0952 0.5746
O5 0.2437 0.1287 0.8360